Computed PXRD pattern
Compound: Cs3Rb4Te4
Radiation: Cu Kα (weighted mean of Kα1 and Kα2)
Structure: a GGA-PBE-relaxed structure

Structure:
```
Cs3Rb4Te4
1.0
-2.860 4.973 9.901
2.860 -4.973 9.901
2.860 4.973 -9.901
Cs Rb Te
3 4 4
Cartesian
0.000 0.000 0.000 Cs
2.860 0.000 7.797 Cs
0.000 4.973 2.104 Cs
2.860 2.040 -3.420 Rb
2.860 2.040 3.420 Rb
0.000 2.932 6.480 Rb
0.000 2.932 13.321 Rb
0.000 0.000 4.305 Te
2.860 3.209 0.000 Te
0.000 1.764 9.901 Te
0.000 0.000 15.496 Te
```

Most intense lines, 10° ≤ 2θ ≤ 90°, sorted by position:
d [Å]  2θ (°)  Rel. int.
3.685  24.15  100
3.503  25.42  66
2.962  30.17  17
2.860  31.27  33
2.753  32.53  39
2.724  32.88  16
2.540  35.34  21
2.056  44.04  19
1.899  47.89  18
1.756  52.07  14

Computed PXRD pattern
Compound: CsRb2Te6
Radiation: Cu Kα (weighted mean of Kα1 and Kα2)
Structure: a GGA-PBE-relaxed structure

Structure:
```
CsRb2Te6
1.0
7.147 -6.105 0.000
7.147 6.105 0.000
-1.514 0.000 4.415
Cs Rb Te
1 2 6
Cartesian
0.000 0.000 0.000 Cs
4.262 0.000 1.380 Rb
8.447 0.000 3.246 Rb
3.511 2.978 3.600 Te
6.393 2.972 2.219 Te
9.188 2.975 1.019 Te
3.511 -2.978 3.600 Te
6.393 -2.972 2.219 Te
9.188 -2.975 1.019 Te
```

Most intense lines, 10° ≤ 2θ ≤ 90°, sorted by position:
d [Å]  2θ (°)  Rel. int.
6.105  14.51  29
4.228  21.01  13
3.242  27.51  12
3.052  29.26  31
2.864  31.24  100
2.334  38.58  12
2.254  40.01  13
1.813  50.33  13
1.724  53.14  21
1.430  65.24  14